# Ti4CrS8
Computed PXRD pattern, Cu Kα X-rays. Input: DFT lattice parameters and positions (GGA-PBE).

```
data_Ti4CrS8
_symmetry_space_group_name_H-M 'R -3 m'
_symmetry_Int_Tables_number 166
_symmetry_space_group_name_Hall '-R 3 2"'
_cell_length_a 6.8196
_cell_length_b 6.8196
_cell_length_c 17.7113
_cell_angle_alpha 90.00
_cell_angle_beta 90.00
_cell_angle_gamma 120.00
loop_
_atom_site_label
_atom_site_fract_x
_atom_site_fract_y
_atom_site_fract_z
Ti1 0.0000 0.0000 0.0000
Ti2 0.0000 0.5000 0.0000
Cr1 0.0000 0.0000 0.5000
S1 0.0000 0.0000 0.2537
S2 0.0012 0.5006 0.2504
```

Top 10 peaks for 2θ = 5–70°, low angle first:
hkl	2θ (°)	I (rel.)
0 0 3	15.01	27.3
1 0 1	15.82	10.8
0 1 2	18.05	7.3
0 2 1	30.69	11.6
0 2 4	36.58	100.0
2 0 5	39.74	4.8
2 0 8	51.60	33.3
2 2 0	53.77	30.2
0 0 12	62.98	5.8
4 0 4	66.79	14.5


# TlCr2S4
Computed PXRD pattern, Cu Kα X-rays. Input: DFT lattice parameters and positions (GGA-PBE).

```
data_TlCr2S4
_symmetry_space_group_name_H-M 'P 1 2/m 1'
_symmetry_Int_Tables_number 10
_symmetry_space_group_name_Hall '-P 2y'
_cell_length_a 5.9005
_cell_length_b 3.4827
_cell_length_c 7.6343
_cell_angle_alpha 90.00
_cell_angle_beta 91.25
_cell_angle_gamma 90.00
loop_
_atom_site_label
_atom_site_fract_x
_atom_site_fract_y
_atom_site_fract_z
Tl1 0.0000 0.0000 0.0000
Cr1 0.0000 0.0000 0.5000
Cr2 0.5000 0.5000 0.5000
S1 0.1688 0.5000 0.6733
S2 0.3320 0.0000 0.3281
```

Top 10 peaks for 2θ = 5–70°, low angle first:
hkl	2θ (°)	I (rel.)
1 0 0	15.02	100.0
1 0 -1	18.81	60.5
1 0 1	19.22	58.1
0 0 2	23.31	49.2
1 0 2	28.15	68.8
1 1 0	29.79	59.0
1 1 -1	31.94	42.3
2 0 -2	38.16	60.1
1 1 2	38.38	97.5
3 1 0	53.52	35.5


# TlCr2S3
Computed PXRD pattern, Cu Kα X-rays. Input: DFT lattice parameters and positions (GGA-PBE).

```
data_TlCr2S3
_symmetry_space_group_name_H-M 'C m c m'
_symmetry_Int_Tables_number 63
_symmetry_space_group_name_Hall '-C 2c 2'
_cell_length_a 3.5550
_cell_length_b 14.7119
_cell_length_c 9.2541
_cell_angle_alpha 90.00
_cell_angle_beta 90.00
_cell_angle_gamma 90.00
loop_
_atom_site_label
_atom_site_fract_x
_atom_site_fract_y
_atom_site_fract_z
Tl1 0.0000 0.2444 0.2500
Cr1 0.0000 0.0000 0.0000
Cr2 0.0000 0.4728 0.7500
S1 0.0000 0.0656 0.7500
S2 0.0000 0.3910 0.5461
```

Top 10 peaks for 2θ = 5–70°, low angle first:
hkl	2θ (°)	I (rel.)
0 0 2	19.18	37.2
0 2 2	22.70	59.2
0 4 0	24.20	36.8
1 1 1	27.55	54.7
0 4 2	31.06	42.2
1 3 1	32.58	100.0
0 0 4	38.93	27.5
1 1 3	39.15	35.5
1 3 3	42.98	28.2
2 0 0	51.44	34.6


# TlVCr4S8
Computed PXRD pattern, Cu Kα X-rays. Input: DFT lattice parameters and positions (GGA-PBE).

```
data_TlVCr4S8
_symmetry_space_group_name_H-M 'C 1 m 1'
_symmetry_Int_Tables_number 8
_symmetry_space_group_name_Hall 'C -2y'
_cell_length_a 18.0149
_cell_length_b 3.4779
_cell_length_c 8.6865
_cell_angle_alpha 90.00
_cell_angle_beta 105.07
_cell_angle_gamma 90.00
loop_
_atom_site_label
_atom_site_fract_x
_atom_site_fract_y
_atom_site_fract_z
Tl1 0.0000 0.0000 0.0000
V1 0.1512 0.0000 0.4782
Cr1 0.2020 0.0000 0.8404
Cr2 0.2929 0.5000 0.1739
Cr3 0.3378 0.5000 0.5355
Cr4 0.4967 0.0000 0.5086
S1 0.0714 0.0000 0.6632
S2 0.0786 0.5000 0.3271
S3 0.1688 0.5000 0.9951
S4 0.2343 0.5000 0.6650
S5 0.2582 0.0000 0.3543
S6 0.3252 0.0000 0.0209
S7 0.4114 0.0000 0.6798
S8 0.4194 0.5000 0.3603
```

Top 10 peaks for 2θ = 5–70°, low angle first:
hkl	2θ (°)	I (rel.)
4 0 -1	20.42	99.6
0 0 2	21.19	52.5
1 1 1	28.76	38.4
3 1 -1	30.44	38.5
6 0 -2	32.66	45.8
3 1 1	33.20	100.0
3 1 -2	34.49	56.0
3 1 -3	41.20	59.1
3 1 3	47.45	42.4
9 1 -1	52.79	56.7


# ZrTl3Cr2S6
Computed PXRD pattern, Cu Kα X-rays. Input: DFT lattice parameters and positions (GGA-PBE).

```
data_ZrTl3Cr2S6
_symmetry_space_group_name_H-M 'C 1 2/m 1'
_symmetry_Int_Tables_number 12
_symmetry_space_group_name_Hall '-C 2y'
_cell_length_a 6.1578
_cell_length_b 10.6987
_cell_length_c 8.5429
_cell_angle_alpha 90.00
_cell_angle_beta 108.96
_cell_angle_gamma 90.00
loop_
_atom_site_label
_atom_site_fract_x
_atom_site_fract_y
_atom_site_fract_z
Zr1 0.0000 0.0000 0.0000
Tl1 0.0000 0.1668 0.5000
Tl2 0.0000 0.5000 0.5000
Cr1 0.0000 0.3333 0.0000
S1 0.2241 0.5000 0.1707
S2 0.2464 0.3242 0.8288
```

Top 10 peaks for 2θ = 5–70°, low angle first:
hkl	2θ (°)	I (rel.)
0 0 1	10.95	44.3
0 0 2	22.00	59.0
1 3 0	29.37	19.8
1 3 -1	29.58	46.4
2 0 0	30.71	19.8
2 0 -2	31.50	43.7
1 3 1	33.20	100.0
1 3 -2	33.75	26.5
1 3 -3	40.81	34.4
3 3 -1	51.53	24.0


# Zr2Tl3CrS6
Computed PXRD pattern, Cu Kα X-rays. Input: DFT lattice parameters and positions (GGA-PBE).

```
data_Zr2Tl3CrS6
_symmetry_space_group_name_H-M 'C 1 2/m 1'
_symmetry_Int_Tables_number 12
_symmetry_space_group_name_Hall '-C 2y'
_cell_length_a 6.2233
_cell_length_b 10.7772
_cell_length_c 8.3017
_cell_angle_alpha 90.00
_cell_angle_beta 90.18
_cell_angle_gamma 90.00
loop_
_atom_site_label
_atom_site_fract_x
_atom_site_fract_y
_atom_site_fract_z
Zr1 0.0000 0.1666 0.0000
Tl1 0.0000 0.1666 0.5000
Tl2 0.0000 0.5000 0.5000
Cr1 0.0000 0.5000 0.0000
S1 0.1579 0.3414 0.8241
S2 0.1823 0.0000 0.8241
```

Top 10 peaks for 2θ = 5–70°, low angle first:
hkl	2θ (°)	I (rel.)
0 0 1	10.66	26.0
0 0 2	21.41	49.2
2 0 0	28.69	77.0
1 3 1	30.69	43.7
1 3 -2	36.06	100.0
2 0 2	36.13	27.4
3 3 0	50.83	30.2
2 0 -4	52.98	17.6
1 3 4	53.09	21.9
3 3 -2	55.73	15.9